Diffraction record for Sr2PuMnO5. The X-ray diffraction stick pattern is calculated, not measured: it uses a crystal structure in Alexandria, relaxed with PBE+U and Cu Ka.
Neutral-atom scattering factors, no anomalous dispersion.

Atomic structure:
```
Sr2PuMnO5
1.0
4.273 0.000 0.000
0.000 4.273 0.000
0.000 0.000 8.480
Sr Pu Mn O
2 1 1 5
Cartesian
0.000 0.000 1.989 Sr
0.000 0.000 6.492 Sr
2.137 2.137 0.000 Pu
2.137 2.137 4.240 Mn
0.000 0.000 4.240 O
0.000 2.137 0.000 O
2.137 0.000 0.000 O
2.137 2.137 2.264 O
2.137 2.137 6.216 O
```

Main lines, by intensity (2θ = 10–90°):
2θ = 29.7°, rel. 100, (1 0 2); 2θ = 29.6°, rel. 70, (1 1 0); 2θ = 10.4°, rel. 67, (0 0 1); 2θ = 52.5°, rel. 42, (2 1 2); 2θ = 42.3°, rel. 33, (2 0 0); 2θ = 23.3°, rel. 31, (1 0 1); 2θ = 52.7°, rel. 26, (1 1 4); 2θ = 69.6°, rel. 21, (3 1 0); 2θ = 61.6°, rel. 20, (2 0 4); 2θ = 38.2°, rel. 20, (1 0 3)